Structure and computed powder XRD pattern of Pr3NdY8 (a cell relaxed with PBE; Cu Kα (λ = 1.5418 Å)).
Neutral-atom scattering factors, no anomalous dispersion.

Crystal structure
```
data_Pr3NdY8
_symmetry_space_group_name_H-M 'I m m m'
_symmetry_Int_Tables_number 71
_symmetry_space_group_name_Hall '-I 2 2'
_cell_length_a 6.528
_cell_length_b 11.445
_cell_length_c 11.628
_cell_angle_alpha 90.00
_cell_angle_beta 90.00
_cell_angle_gamma 90.00
loop_
_atom_site_label
_atom_site_fract_x
_atom_site_fract_y
_atom_site_fract_z
Pr1 0.000 0.000 0.000
Pr2 0.000 0.500 0.249
Nd1 0.000 0.000 0.500
Y1 0.000 0.170 0.250
Y2 0.250 0.249 0.500
```

The 8 most intense peaks (10° ≤ 2θ ≤ 80°), sorted by position:
- hkl 1 1 2, 4.059 Å, 21.9°, rel. 37
- hkl 0 0 4, 2.907 Å, 30.8°, rel. 43
- hkl 1 3 2, 2.865 Å, 31.2°, rel. 100
- hkl 2 0 2, 2.846 Å, 31.4°, rel. 25
- hkl 2 2 0, 2.835 Å, 31.6°, rel. 26
- hkl 2 2 2, 2.548 Å, 35.2°, rel. 22
- hkl 2 2 4, 2.030 Å, 44.6°, rel. 20
- hkl 3 3 2, 1.798 Å, 50.8°, rel. 21